# 1
Diffraction record for Ac3MnTl3Te8. The X-ray diffraction stick pattern is theoretical, not measured: it uses a DFT-relaxed cell (GGA-PBE, Alexandria) and Cu Kα, 1.54184 Å.

Atomic structure:
```
data_Ac3MnTl3Te8
_cell_length_a 9.3098
_cell_length_b 9.3098
_cell_length_c 24.6911
_cell_angle_alpha 90.00
_cell_angle_beta 90.00
_cell_angle_gamma 120.00
_space_group_name_H-M_alt 'R -3 m'
_space_group_IT_number 166
_space_group_name_Hall '-R 3 2"'
loop_
_atom_site_label
_atom_site_fract_x
_atom_site_fract_y
_atom_site_fract_z
Ac1 0.0000 0.5000 0.0000
Mn1 0.0000 0.0000 0.0000
Tl1 0.0000 0.5000 0.5000
Te1 0.0000 0.0000 0.2556
Te2 0.0498 0.5249 0.7337
```

The 8 most intense peaks (2θ from 10° to 90°), by intensity:
hkl 0 2 4, 2θ = 26.41°, I = 100; hkl 2 0 8, 2θ = 36.67°, I = 36; hkl 2 2 0, 2θ = 38.69°, I = 34; hkl 4 0 4, 2θ = 47.44°, I = 18; hkl 2 4 4, 2θ = 62.81°, I = 16; hkl 2 2 12, 2θ = 60.01°, I = 13; hkl 0 1 2, 2θ = 13.12°, I = 11; hkl 0 4 8, 2θ = 54.36°, I = 11

# 2
Diffraction record for CsPd4F7. The X-ray diffraction stick pattern is theoretical, not measured: it uses a DFT-relaxed cell (GGA-PBE, Alexandria) and Cu Kα, 1.54184 Å.

Atomic structure:
```
data_CsPd4F7
_cell_length_a 16.065
_cell_length_b 4.211
_cell_length_c 7.058
_cell_angle_alpha 90.00
_cell_angle_beta 90.00
_cell_angle_gamma 90.00
_space_group_name_H-M_alt 'P m n 21'
_space_group_IT_number 31
_space_group_name_Hall 'P 2ac -2'
loop_
_atom_site_label
_atom_site_fract_x
_atom_site_fract_y
_atom_site_fract_z
Cs1 0.000 0.249 0.000
Pd1 0.078 0.781 0.461
Pd2 0.237 0.498 0.168
F1 0.000 0.751 0.693
F2 0.139 0.817 0.206
F3 0.188 0.865 0.620
F4 0.192 0.414 0.907
```

The 8 most intense peaks (2θ from 10° to 90°), by intensity:
hkl 0 1 1, 2θ = 24.62°, I = 100; hkl 2 0 2, 2θ = 27.61°, I = 82; hkl 2 1 1, 2θ = 27.04°, I = 55; hkl 2 1 0, 2θ = 23.86°, I = 44; hkl 5 0 1, 2θ = 30.57°, I = 44; hkl 2 2 0, 2θ = 44.49°, I = 32; hkl 5 1 2, 2θ = 43.75°, I = 28; hkl 4 0 0, 2θ = 22.13°, I = 26

# 3
Diffraction record for PuIrPtO6. The X-ray diffraction stick pattern is theoretical, not measured: it uses a DFT-relaxed cell (GGA-PBE, Alexandria) and Cu Kα, 1.54184 Å.

Atomic structure:
```
data_PuIrPtO6
_cell_length_a 5.2594
_cell_length_b 5.2594
_cell_length_c 9.0360
_cell_angle_alpha 90.00
_cell_angle_beta 90.00
_cell_angle_gamma 120.00
_space_group_name_H-M_alt 'P -3 1 c'
_space_group_IT_number 163
_space_group_name_Hall '-P 3 2c'
loop_
_atom_site_label
_atom_site_fract_x
_atom_site_fract_y
_atom_site_fract_z
Pu1 0.3333 0.6667 0.2500
Ir1 0.0000 0.0000 0.0000
Pt1 0.3333 0.6667 0.7500
O1 0.0082 0.3306 0.6207
```

The 8 most intense peaks (2θ from 10° to 90°), by intensity:
hkl 1 0 2, 2θ = 27.81°, I = 100; hkl 1 1 0, 2θ = 34.09°, I = 58; hkl 2 -1 4, 2θ = 53.47°, I = 45; hkl 2 0 2, 2θ = 44.55°, I = 29; hkl 3 -1 2, 2θ = 57.27°, I = 28; hkl 3 0 0, 2θ = 61.03°, I = 17; hkl 1 1 2, 2θ = 39.66°, I = 16; hkl 0 0 2, 2θ = 19.65°, I = 12